[1]
Diffraction record for W3C. The XRD peak list is computed, not measured: it uses a structure optimized by DFT (GGA-PBE) and λ = 1.5418 Å (Cu Kα).

Crystal structure
Cell: 3.529 3.529 9.067 Å, 90.00 90.00 90.00°
Space group I4/mmm (No. 139)
Inequivalent atoms, fractional coordinates:
1 W 0.000 0.000 0.000 (multiplicity 2)
2 W 0.000 0.500 0.250 (multiplicity 4)
3 C 0.000 0.000 0.500 (multiplicity 2)

Top 6 peaks for 2θ from 10° to 80°, most intense first:
2theta, d/Å, Rel. int., (hkl)
41.30, 2.186, 100, 1 1 2
27.12, 3.288, 28, 1 0 1
39.76, 2.267, 28, 0 0 4
51.82, 1.764, 26, 2 0 0
67.24, 1.392, 24, 2 0 4
73.23, 1.293, 19, 1 1 6


[2]
Diffraction record for K2AgSb. The XRD peak list is computed, not measured: it uses a structure optimized by DFT (GGA-PBE) and λ = 1.5418 Å (Cu Kα).

Crystal structure
Cell: 10.610 8.376 6.360 Å, 90.00 90.00 90.00°
Space group Cmcm (No. 63)
Inequivalent atoms, fractional coordinates:
1 K 0.172 0.149 0.250 (multiplicity 8)
2 Ag 0.000 0.500 0.000 (multiplicity 4)
3 Sb 0.000 0.235 0.750 (multiplicity 4)

Top 6 peaks for 2θ from 10° to 80°, most intense first:
2theta, d/Å, Rel. int., (hkl)
16.71, 5.305, 100, 2 0 0
30.83, 2.900, 91, 3 1 1
19.42, 4.571, 64, 1 1 1
39.42, 2.286, 63, 2 2 2
35.44, 2.533, 59, 0 2 2
13.47, 6.575, 56, 1 1 0


[3]
Diffraction record for GdBrO. The XRD peak list is computed, not measured: it uses a structure optimized by DFT (GGA-PBE) and λ = 1.5418 Å (Cu Kα).

Crystal structure
Cell: 3.906 3.906 8.779 Å, 90.00 90.00 90.00°
Space group P4/nmm (No. 129, origin choice 2)
Inequivalent atoms, fractional coordinates:
1 Gd 0.250 0.250 0.134 (multiplicity 2)
2 Br 0.250 0.250 0.678 (multiplicity 2)
3 O 0.250 0.750 0.000 (multiplicity 2)

Top 6 peaks for 2θ from 10° to 80°, most intense first:
2theta, d/Å, Rel. int., (hkl)
30.64, 2.918, 100, 1 0 2
10.08, 8.779, 50, 0 0 1
32.41, 2.762, 43, 1 1 0
56.71, 1.623, 35, 2 1 2
38.46, 2.340, 21, 1 0 3
46.49, 1.953, 21, 2 0 0


[4]
Diffraction record for Na2HC2O4. The XRD peak list is computed, not measured: it uses a structure optimized by DFT (GGA-PBE) and λ = 1.5418 Å (Cu Kα).

Crystal structure
Cell: 7.327 9.344 3.326 Å, 90.00 90.00 90.00°
Space group P2_12_12 (No. 18)
Inequivalent atoms, fractional coordinates:
1 Na 0.119 0.239 0.088 (multiplicity 4)
2 H 0.000 0.000 0.686 (multiplicity 2)
3 C 0.102 0.525 0.567 (multiplicity 4)
4 O 0.132 0.657 0.488 (multiplicity 4)
5 O 0.218 0.432 0.662 (multiplicity 4)

Top 6 peaks for 2θ from 10° to 80°, most intense first:
2theta, d/Å, Rel. int., (hkl)
15.37, 5.766, 100, 1 1 0
37.78, 2.381, 79, 2 1 1
33.06, 2.710, 40, 0 2 1
31.04, 2.881, 34, 1 1 1
41.59, 2.171, 21, 1 3 1
28.48, 3.134, 20, 0 1 1